Structure and simulated XRD peak list of Mg5HIr4 (a crystal structure in Alexandria, relaxed with GGA-PBE; CuKα).

Principal peaks in the range 2θ = 10–90°, in order of rising 2θ:
19.46 deg, intensity 48
21.84 deg, intensity 100
36.37 deg, intensity 24
37.18 deg, intensity 45
38.91 deg, intensity 47
39.15 deg, intensity 43
39.48 deg, intensity 34
42.11 deg, intensity 33
42.45 deg, intensity 24
43.20 deg, intensity 32
44.54 deg, intensity 27
49.34 deg, intensity 21

a b c (Å): 4.653 5.099 6.639
angles (deg): 75.81 78.78 85.63
Sites, in units of the cell vectors:
1 Mg 0.000 0.000 0.000
2 Mg 0.089 0.590 0.761
3 Mg 0.576 0.273 0.712
4 Mg 0.678 0.859 0.488
5 Mg 0.839 0.431 0.252
6 H 0.662 0.414 0.966
7 Ir 0.119 0.116 0.555
8 Ir 0.271 0.664 0.338
9 Ir 0.404 0.185 0.159
10 Ir 0.553 0.756 0.942

Structure and simulated XRD peak list of Mg5H2Ir3 (a crystal structure in Alexandria, relaxed with GGA-PBE; CuKα).

Principal peaks in the range 2θ = 10–90°, in order of rising 2θ:
11.81 deg, intensity 34
23.67 deg, intensity 37
27.11 deg, intensity 66
27.34 deg, intensity 65
27.92 deg, intensity 64
38.69 deg, intensity 50
39.06 deg, intensity 51
39.24 deg, intensity 50
39.39 deg, intensity 100
39.55 deg, intensity 51
48.39 deg, intensity 25
71.66 deg, intensity 23

a b c (Å): 4.559 4.579 7.899
angles (deg): 74.44 74.09 61.24
Sites, in units of the cell vectors:
1 Mg 0.000 0.000 0.000
2 Mg 0.115 0.149 0.611
3 Mg 0.380 0.384 0.864
4 Mg 0.618 0.618 0.136
5 Mg 0.854 0.885 0.388
6 H 0.600 0.140 0.630
7 H 0.862 0.402 0.370
8 Ir 0.270 0.238 0.234
9 Ir 0.458 0.543 0.501
10 Ir 0.759 0.735 0.765

Structure and simulated XRD peak list of Mg5H4Ir (a crystal structure in Alexandria, relaxed with GGA-PBE; CuKα).

Principal peaks in the range 2θ = 10–90°, in order of rising 2θ:
16.05 deg, intensity 79
17.61 deg, intensity 100
19.33 deg, intensity 72
21.40 deg, intensity 31
23.91 deg, intensity 72
25.23 deg, intensity 65
26.87 deg, intensity 32
32.43 deg, intensity 27
37.24 deg, intensity 26
38.03 deg, intensity 63
38.21 deg, intensity 47
39.23 deg, intensity 85

a b c (Å): 4.870 5.343 5.522
angles (deg): 90.12 90.11 109.49
Sites, in units of the cell vectors:
1 Mg 0.000 0.000 0.000
2 Mg 0.002 0.003 0.486
3 Mg 0.373 0.720 0.741
4 Mg 0.501 0.502 0.241
5 Mg 0.630 0.284 0.742
6 H 0.033 0.268 0.745
7 H 0.188 0.740 0.242
8 H 0.815 0.262 0.246
9 H 0.969 0.735 0.742
10 Ir 0.501 0.002 0.244

Structure and simulated XRD peak list of MgHIr5 (a crystal structure in Alexandria, relaxed with GGA-PBE; CuKα).

Principal peaks in the range 2θ = 10–90°, in order of rising 2θ:
21.02 deg, intensity 12
22.30 deg, intensity 18
39.25 deg, intensity 100
39.77 deg, intensity 48
39.88 deg, intensity 47
45.84 deg, intensity 32
46.04 deg, intensity 61
66.92 deg, intensity 20
67.07 deg, intensity 19
80.27 deg, intensity 22
80.34 deg, intensity 12
81.31 deg, intensity 12

a b c (Å): 4.820 8.452 4.832
angles (deg): 90.00 110.26 90.00
Sites, in units of the cell vectors:
1 Mg 0.000 0.000 0.000
2 Mg 0.500 0.500 0.000
3 H 0.119 0.000 0.437
4 H 0.619 0.500 0.437
5 Ir 0.013 0.500 0.518
6 Ir 0.482 0.316 0.510
7 Ir 0.482 0.684 0.510
8 Ir 0.498 0.165 0.011
9 Ir 0.498 0.835 0.011
10 Ir 0.513 0.000 0.518
11 Ir 0.982 0.184 0.510
12 Ir 0.982 0.816 0.510
13 Ir 0.998 0.335 0.011
14 Ir 0.998 0.665 0.011

Structure and simulated XRD peak list of Mg2H2Ir (a crystal structure in Alexandria, relaxed with GGA-PBE; CuKα).

Principal peaks in the range 2θ = 10–90°, in order of rising 2θ:
13.26 deg, intensity 27
22.68 deg, intensity 100
23.16 deg, intensity 33
24.06 deg, intensity 24
24.24 deg, intensity 25
26.70 deg, intensity 21
38.57 deg, intensity 44
38.84 deg, intensity 25
39.23 deg, intensity 23
39.49 deg, intensity 22
39.61 deg, intensity 22
42.77 deg, intensity 20

a b c (Å): 4.552 4.565 7.137
angles (deg): 72.34 72.28 61.14
Sites, in units of the cell vectors:
1 Mg 0.000 0.000 0.000
2 Mg 0.137 0.138 0.540
3 Mg 0.424 0.426 0.727
4 Mg 0.560 0.564 0.268
5 H 0.076 0.597 0.264
6 H 0.484 0.967 0.004
7 H 0.600 0.080 0.263
8 H 0.961 0.484 0.005
9 Ir 0.733 0.736 0.827
10 Ir 0.827 0.827 0.442

Structure and simulated XRD peak list of Mg5HIr4 (a crystal structure in Alexandria, relaxed with GGA-PBE; CuKα).

Principal peaks in the range 2θ = 10–90°, in order of rising 2θ:
22.91 deg, intensity 20
25.05 deg, intensity 46
25.38 deg, intensity 100
31.04 deg, intensity 18
31.51 deg, intensity 35
39.50 deg, intensity 86
39.92 deg, intensity 43
40.19 deg, intensity 87
40.37 deg, intensity 44
48.12 deg, intensity 26
58.08 deg, intensity 29
72.85 deg, intensity 22

a b c (Å): 4.488 4.488 8.418
angles (deg): 90.82 90.82 59.71
Sites, in units of the cell vectors:
1 Mg 0.000 0.000 0.000
2 Mg 0.003 0.003 0.639
3 Mg 0.333 0.333 0.434
4 Mg 0.661 0.661 0.216
5 Mg 0.671 0.671 0.847
6 H 0.181 0.181 0.220
7 Ir 0.338 0.338 0.071
8 Ir 0.339 0.339 0.770
9 Ir 0.667 0.667 0.531
10 Ir 0.990 0.990 0.325